No. 1
Diffraction record for HoAsRh3. The powder diffraction line list is computed, not measured: it uses a crystal structure in Alexandria, relaxed with PBE and copper Kα.
No peak broadening, texture or thermal motion is included.

Top 8 peaks for 5 to 70 degrees two-theta, by angle:
Position (°2θ), I/Imax
26.46, 31.9
33.26, 100.0
38.53, 37.6
40.22, 94.6
42.99, 18.6
48.79, 24.0
54.47, 35.0
68.69, 26.0

Atomic structure:
```
HoAsRh3
1.0
6.738 0.000 0.000
-3.369 5.835 0.000
0.000 0.000 7.010
Ho As Rh
3 3 9
Direct
0.000 0.000 0.000
0.333 0.667 0.667
0.667 0.333 0.333
0.000 0.000 0.412
0.333 0.667 0.078
0.667 0.333 0.745
0.193 0.387 0.336
0.193 0.807 0.336
0.280 0.140 0.669
0.527 0.054 0.002
0.527 0.473 0.002
0.613 0.807 0.336
0.860 0.140 0.669
0.860 0.720 0.669
0.946 0.473 0.002
```

No. 2
Diffraction record for Ho4AsRh2. The powder diffraction line list is computed, not measured: it uses a crystal structure in Alexandria, relaxed with PBE and copper Kα.
No peak broadening, texture or thermal motion is included.

Top 8 peaks for 5 to 70 degrees two-theta, by angle:
Position (°2θ), I/Imax
27.21, 34.9
30.71, 68.4
31.80, 43.6
32.95, 100.0
33.08, 62.8
37.51, 30.7
39.26, 39.3
54.67, 31.9

Atomic structure:
```
Ho4AsRh2
1.0
4.517 -6.048 0.000
4.517 6.048 0.000
-3.559 0.000 6.084
Ho As Rh
8 2 4
Direct
0.003 0.997 0.500
0.027 0.533 0.756
0.403 0.534 0.186
0.457 0.846 0.673
0.533 0.027 0.256
0.534 0.403 0.686
0.846 0.457 0.173
0.997 0.003 0.000
0.158 0.371 0.413
0.371 0.158 0.913
0.162 0.786 0.218
0.685 0.754 0.058
0.754 0.685 0.558
0.786 0.162 0.718
```

No. 3
Diffraction record for Ho3As4Rh4. The powder diffraction line list is computed, not measured: it uses a crystal structure in Alexandria, relaxed with PBE and copper Kα.
No peak broadening, texture or thermal motion is included.

Top 8 peaks for 5 to 70 degrees two-theta, by angle:
Position (°2θ), I/Imax
34.08, 100.0
35.17, 29.9
36.58, 72.3
38.98, 18.9
42.95, 28.1
44.50, 34.8
47.51, 16.5
63.57, 17.4

Atomic structure:
```
Ho3As4Rh4
1.0
-2.036 3.562 6.832
2.036 -3.562 6.832
2.036 3.562 -6.832
Ho As Rh
3 4 4
Direct
0.000 0.000 0.000
0.375 0.875 0.500
0.625 0.125 0.500
0.217 0.217 0.000
0.295 0.500 0.795
0.705 0.500 0.205
0.783 0.783 0.000
0.026 0.323 0.704
0.381 0.677 0.704
0.619 0.323 0.296
0.974 0.677 0.296
```

No. 4
Diffraction record for Ho6Te3AsRh2. The powder diffraction line list is computed, not measured: it uses a crystal structure in Alexandria, relaxed with PBE and copper Kα.
No peak broadening, texture or thermal motion is included.

Top 8 peaks for 5 to 70 degrees two-theta, by angle:
Position (°2θ), I/Imax
26.15, 4.8
29.95, 100.0
42.07, 21.6
42.22, 10.7
43.61, 37.8
53.75, 14.1
53.92, 6.3
62.29, 6.6

Atomic structure:
```
Ho6Te3AsRh2
1.0
3.592 -6.230 0.000
3.592 6.230 0.000
-2.425 0.000 7.131
Ho Te As Rh
6 3 1 2
Direct
0.087 0.431 0.789
0.228 0.228 0.210
0.431 0.087 0.789
0.569 0.913 0.211
0.772 0.772 0.790
0.913 0.569 0.211
0.000 0.000 0.500
0.337 0.663 0.500
0.663 0.337 0.500
0.500 0.500 0.000
0.167 0.833 0.000
0.833 0.167 0.000
```

No. 5
Diffraction record for Ho2As7Ru12. The powder diffraction line list is computed, not measured: it uses a crystal structure in Alexandria, relaxed with PBE and copper Kα.
No peak broadening, texture or thermal motion is included.

Top 8 peaks for 5 to 70 degrees two-theta, by angle:
Position (°2θ), I/Imax
35.93, 100.0
39.07, 11.2
42.82, 11.1
44.78, 19.5
45.15, 24.6
49.44, 22.0
52.42, 11.1
69.17, 15.9

Atomic structure:
```
Ho2As7Ru12
1.0
9.755 0.000 0.000
-4.877 8.448 0.000
0.000 0.000 4.017
Ho As Ru
2 7 12
Direct
0.000 0.000 0.000
0.333 0.667 0.500
0.070 0.450 0.000
0.247 0.215 0.500
0.380 0.930 0.000
0.550 0.620 0.000
0.667 0.333 0.500
0.785 0.032 0.500
0.968 0.753 0.500
0.032 0.272 0.500
0.106 0.721 0.000
0.240 0.968 0.500
0.279 0.385 0.000
0.456 0.216 0.000
0.507 0.449 0.500
0.551 0.058 0.500
0.615 0.894 0.000
0.728 0.760 0.500
0.760 0.544 0.000
0.784 0.240 0.000
0.942 0.493 0.500
```

No. 6
Diffraction record for Ho5As2S2. The powder diffraction line list is computed, not measured: it uses a crystal structure in Alexandria, relaxed with PBE and copper Kα.
No peak broadening, texture or thermal motion is included.

Top 8 peaks for 5 to 70 degrees two-theta, by angle:
Position (°2θ), I/Imax
25.32, 38.5
26.71, 35.6
27.22, 21.6
32.71, 100.0
35.08, 19.8
37.10, 67.7
38.28, 70.5
38.74, 49.6

Atomic structure:
```
Ho5As2S2
1.0
7.046 -3.721 0.000
7.046 3.721 0.000
0.000 0.000 7.556
Ho As S
10 4 4
Direct
0.000 0.000 0.000
0.021 0.699 0.652
0.199 0.521 0.152
0.301 0.979 0.652
0.479 0.801 0.152
0.500 0.500 0.500
0.521 0.199 0.848
0.699 0.021 0.348
0.801 0.479 0.848
0.979 0.301 0.348
0.145 0.855 0.354
0.355 0.645 0.854
0.645 0.355 0.146
0.855 0.145 0.646
0.194 0.194 0.000
0.306 0.306 0.500
0.694 0.694 0.500
0.806 0.806 0.000
```

No. 7
Diffraction record for HoAsS3. The powder diffraction line list is computed, not measured: it uses a crystal structure in Alexandria, relaxed with PBE and copper Kα.
No peak broadening, texture or thermal motion is included.

Top 8 peaks for 5 to 70 degrees two-theta, by angle:
Position (°2θ), I/Imax
13.46, 51.6
23.76, 100.0
26.85, 78.3
30.15, 59.9
36.16, 38.3
38.53, 62.1
47.43, 51.0
49.84, 44.1

Atomic structure:
```
HoAsS3
1.0
3.320 1.917 6.578
-3.320 1.917 6.578
0.000 -3.834 6.578
Ho As S
2 2 6
Direct
0.158 0.158 0.158
0.842 0.842 0.842
0.378 0.378 0.378
0.622 0.622 0.622
0.087 0.739 0.439
0.261 0.561 0.913
0.439 0.087 0.739
0.561 0.913 0.261
0.739 0.439 0.087
0.913 0.261 0.561
```

No. 8
Diffraction record for HoZnAsS. The powder diffraction line list is computed, not measured: it uses a crystal structure in Alexandria, relaxed with PBE and copper Kα.
No peak broadening, texture or thermal motion is included.

Top 8 peaks for 5 to 70 degrees two-theta, by angle:
Position (°2θ), I/Imax
26.30, 100.0
27.52, 32.2
32.26, 25.7
36.23, 77.9
42.20, 78.8
45.25, 28.1
54.08, 22.8
56.81, 20.6

Atomic structure:
```
HoZnAsS
1.0
2.141 1.236 11.114
-2.141 1.236 11.114
0.000 -2.473 11.114
Ho Zn As S
2 2 2 2
Direct
0.109 0.109 0.109
0.891 0.891 0.891
0.306 0.306 0.306
0.694 0.694 0.694
0.384 0.384 0.384
0.616 0.616 0.616
0.197 0.197 0.197
0.803 0.803 0.803
```

No. 9
Diffraction record for Ho5Sb4As. The powder diffraction line list is computed, not measured: it uses a crystal structure in Alexandria, relaxed with PBE and copper Kα.
No peak broadening, texture or thermal motion is included.

Top 8 peaks for 5 to 70 degrees two-theta, by angle:
Position (°2θ), I/Imax
25.25, 6.1
29.24, 100.0
41.83, 75.1
51.85, 26.4
60.60, 8.5
60.73, 3.7
68.69, 23.0
68.80, 10.3

Atomic structure:
```
Ho5Sb4As
1.0
-2.161 2.161 15.250
2.161 -2.161 15.250
2.161 2.161 -15.250
Ho Sb As
5 4 1
Direct
0.000 0.000 0.000
0.200 0.200 0.000
0.405 0.405 0.000
0.595 0.595 0.000
0.800 0.800 0.000
0.100 0.100 0.000
0.302 0.302 0.000
0.698 0.698 0.000
0.900 0.900 0.000
0.500 0.500 0.000
```

No. 10
Diffraction record for Ho4SbTeAs2. The powder diffraction line list is computed, not measured: it uses a crystal structure in Alexandria, relaxed with PBE and copper Kα.
No peak broadening, texture or thermal motion is included.

Top 8 peaks for 5 to 70 degrees two-theta, by angle:
Position (°2θ), I/Imax
25.91, 8.0
29.91, 100.0
32.61, 4.4
42.59, 35.6
43.01, 37.9
52.56, 5.7
53.27, 19.8
62.14, 11.6

Atomic structure:
```
Ho4SbTeAs2
1.0
7.286 0.000 0.000
0.000 4.205 0.000
-2.413 0.000 6.965
Ho Sb Te As
4 1 1 2
Direct
0.237 0.000 0.225
0.253 0.500 0.771
0.747 0.500 0.229
0.763 0.000 0.775
0.000 0.000 0.500
0.500 0.500 0.500
0.000 0.500 0.000
0.500 0.000 0.000
```

No. 11
Diffraction record for HoTmSbAs. The powder diffraction line list is computed, not measured: it uses a crystal structure in Alexandria, relaxed with PBE and copper Kα.
No peak broadening, texture or thermal motion is included.

Top 8 peaks for 5 to 70 degrees two-theta, by angle:
Position (°2θ), I/Imax
24.97, 30.3
26.01, 27.6
29.83, 27.5
32.42, 100.0
38.57, 37.5
43.34, 56.5
55.15, 22.1
69.32, 26.3

Atomic structure:
```
HoTmSbAs
1.0
4.175 0.000 0.000
-2.088 3.616 0.000
0.000 0.000 21.390
Ho Tm Sb As
3 3 3 3
Direct
0.000 0.000 0.000
0.333 0.667 0.667
0.667 0.333 0.333
0.000 0.000 0.181
0.333 0.667 0.848
0.667 0.333 0.514
0.000 0.000 0.759
0.333 0.667 0.425
0.667 0.333 0.092
0.000 0.000 0.588
0.333 0.667 0.254
0.667 0.333 0.921
```

No. 12
Diffraction record for HoSc4As5. The powder diffraction line list is computed, not measured: it uses a crystal structure in Alexandria, relaxed with PBE and copper Kα.
No peak broadening, texture or thermal motion is included.

Top 8 peaks for 5 to 70 degrees two-theta, by angle:
Position (°2θ), I/Imax
9.02, 16.7
16.56, 10.8
32.17, 47.5
32.27, 93.5
33.41, 7.6
46.24, 100.0
57.48, 34.0
67.54, 10.2

Atomic structure:
```
HoSc4As5
1.0
-1.962 2.783 9.804
1.962 -2.783 9.804
1.962 2.783 -9.804
Ho Sc As
1 4 5
Direct
0.000 0.000 0.000
0.202 0.202 0.000
0.399 0.399 0.000
0.601 0.601 0.000
0.798 0.798 0.000
0.105 0.605 0.500
0.301 0.801 0.500
0.500 0.000 0.500
0.699 0.199 0.500
0.895 0.395 0.500
```

No. 13
Diffraction record for HoSc5As4. The powder diffraction line list is computed, not measured: it uses a crystal structure in Alexandria, relaxed with PBE and copper Kα.
No peak broadening, texture or thermal motion is included.

Top 8 peaks for 5 to 70 degrees two-theta, by angle:
Position (°2θ), I/Imax
10.99, 42.4
12.09, 54.7
25.79, 27.2
32.91, 100.0
33.40, 46.8
46.63, 55.3
48.58, 32.0
58.60, 17.9

Atomic structure:
```
HoSc5As4
1.0
8.384 -1.946 0.000
8.384 1.946 0.000
-2.135 0.000 7.319
Ho Sc As
1 5 4
Direct
0.000 0.000 0.000
0.000 0.000 0.500
0.327 0.327 0.653
0.338 0.338 0.156
0.662 0.662 0.844
0.673 0.673 0.347
0.175 0.175 0.102
0.494 0.494 0.732
0.506 0.506 0.268
0.825 0.825 0.898
```